# MnVHPbO5
Calculated X-ray powder pattern, λ = 1.5418 Å (Cu Kα). Input: a DFT-relaxed cell (GGA+U, Alexandria).
Lines closer than 0.1° are merged.

Largest 10 diffraction maxima, by intensity, 10 to 90 degrees two-theta:
- 26.97 deg, intensity 100.0
- 16.79 deg, intensity 72.8
- 33.46 deg, intensity 64.9
- 32.91 deg, intensity 54.7
- 30.23 deg, intensity 48.8
- 54.07 deg, intensity 46.4
- 37.90 deg, intensity 44.5
- 20.35 deg, intensity 37.2
- 31.96 deg, intensity 36.4
- 28.23 deg, intensity 34.1

```
MnVHPbO5
1.0
7.757 0.000 0.000
0.000 6.323 0.000
0.000 0.000 9.593
Mn V H Pb O
4 4 4 4 20
Direct
0.000 0.000 0.000
0.000 0.500 0.000
0.500 0.000 0.500
0.500 0.500 0.500
0.132 0.250 0.316
0.368 0.750 0.816
0.632 0.250 0.184
0.868 0.750 0.684
0.230 0.750 0.477
0.270 0.250 0.977
0.730 0.750 0.023
0.770 0.250 0.523
0.139 0.250 0.680
0.361 0.750 0.180
0.639 0.250 0.820
0.861 0.750 0.320
0.042 0.750 0.577
0.123 0.015 0.212
0.123 0.485 0.212
0.156 0.250 0.929
0.187 0.750 0.930
0.313 0.250 0.430
0.344 0.750 0.429
0.377 0.515 0.712
0.377 0.985 0.712
0.458 0.250 0.077
0.542 0.750 0.923
0.623 0.015 0.288
0.623 0.485 0.288
0.656 0.250 0.571
0.687 0.750 0.570
0.813 0.250 0.070
0.844 0.750 0.071
0.877 0.515 0.788
0.877 0.985 0.788
0.958 0.250 0.423
```